Calculated XRD peak list
Compound: NaNdTl4
Radiation: a wavelength of 1.5418 Å
Structure: a PBE-relaxed structure

Cell lengths 3.678, 5.136, 9.305 Å; angles 90.04, 92.84, 90.04 degrees
Element x y z (fractional)
Na 0.000 0.000 0.000
Nd 0.002 0.500 0.506
Tl 0.367 0.000 0.335
Tl 0.394 0.500 0.841
Tl 0.616 0.000 0.667
Tl 0.624 0.500 0.169

Most intense lines, 2θ from 5° to 70°, by intensity:
| two_theta | I_rel |
| --- | --- |
| 31.07 | 100 |
| 33.79 | 86 |
| 31.79 | 46 |
| 34.94 | 39 |
| 47.95 | 30 |
| 19.75 | 19 |
| 45.13 | 18 |
| 24.23 | 18 |
| 58.31 | 17 |
| 54.42 | 17 |
| 60.26 | 16 |
| 59.63 | 15 |